# Li5BeF8
Computed powder diffractogram, Cu Kα (weighted mean of Kα1 and Kα2). Input: a DFT-relaxed cell (GGA-PBE, Alexandria).
Neutral-atom scattering factors, no anomalous dispersion.

Atomic structure:
Unit cell a=6.874 b=6.874 c=6.634 alpha=90.00 beta=90.00 gamma=90.00
Space group I-4 (No. 82)
Symmetry-distinct sites (fractional):
Li  0.000  0.000  0.000 (multiplicity 2)
Li  0.147  0.748  0.615 (multiplicity 8)
Be  0.000  0.500  0.250 (multiplicity 2)
F  0.019  0.312  0.386 (multiplicity 8)
F  0.021  0.214  0.832 (multiplicity 8)

Largest 10 diffraction maxima, sorted by position, 2θ from 5° to 70°:
index  Position (°2θ)  intensity
1 0 1  18.6  92
1 2 1  32.1  534
1 1 2  32.7  119
2 2 0  37.0  404
2 0 2  37.7  1000
3 0 1  41.7  144
3 2 1  49.8  161
4 0 0  53.3  113
3 2 3  64.5  209
2 4 2  67.1  117